No. 1
NaAl11O17: computed PXRD pattern (copper Kα), based on DFT lattice parameters and positions (PBE).
Kinematic intensities with the Lorentz-polarization factor, no thermal factor.

Lattice parameters (Å, degrees): 5.6526 5.6526 33.9953 90.00 90.00 120.00
Space group R3m (No. 160, hexagonal axes)
One atom of each set of equivalent atoms:
Na: 0.0000 0.0000 0.0000
Al: 0.0000 0.0000 0.1785
Al: 0.0000 0.0000 0.2780
Al: 0.0000 0.0000 0.3775
Al: 0.0000 0.0000 0.4779
Al: 0.0000 0.0000 0.8280
Al: 0.0031 0.5015 0.2332
Al: 0.1671 0.3342 0.7563
O: 0.0000 0.0000 0.1244
O: 0.0000 0.0000 0.3276
O: 0.0000 0.0000 0.5314
O: 0.0000 0.0000 0.7326
O: 0.0000 0.0000 0.9246
O: 0.0081 0.5041 0.7298
O: 0.0212 0.5106 0.5282
O: 0.1685 0.3371 0.2582
O: 0.1763 0.3525 0.4609

Peak list (10 most intense, 2θ from 10° to 90°, in order of rising 2θ)
2theta, Rel. int., hkl
15.64, 100, 0 0 6
20.94, 35, 1 0 4
31.65, 47, 1 1 0
32.05, 38, 1 0 10
34.32, 56, 0 1 11
35.49, 72, 1 1 6
38.27, 42, 0 2 4
45.67, 94, 0 2 10
66.12, 82, 2 2 0
67.04, 59, 2 0 20

No. 2
Rb6MoN4: computed PXRD pattern (copper Kα), based on DFT lattice parameters and positions (PBE).
Kinematic intensities with the Lorentz-polarization factor, no thermal factor.

Lattice parameters (Å, degrees): 8.548 8.548 7.222 90.00 90.00 90.00
Space group P4_2/nmc (No. 137, origin choice 2)
One atom of each set of equivalent atoms:
Rb: 0.045 0.545 0.250
Rb: 0.250 0.250 0.048
Mo: 0.250 0.750 0.750
N: 0.060 0.750 0.607

Peak list (10 most intense, 2θ from 10° to 90°, in order of rising 2θ)
2theta, Rel. int., hkl
24.65, 29, 0 0 2
26.38, 71, 2 1 1
28.80, 66, 1 1 2
29.56, 100, 2 2 0
32.46, 79, 2 0 2
33.82, 79, 3 0 1
42.29, 32, 4 0 0
49.57, 27, 3 0 3
51.97, 35, 3 3 2
59.64, 57, 2 2 4

No. 3
SnRh3: computed PXRD pattern (copper Kα), based on DFT lattice parameters and positions (PBE).
Kinematic intensities with the Lorentz-polarization factor, no thermal factor.

Lattice parameters (Å, degrees): 5.6761 5.6761 4.5094 90.00 90.00 120.00
Space group P6_3/mmc (No. 194)
One atom of each set of equivalent atoms:
Sn: 0.3333 0.6667 0.2500
Rh: 0.1630 0.3260 0.7500

Peak list (10 most intense, 2θ from 10° to 90°, in order of rising 2θ)
2theta, Rel. int., hkl
36.56, 24, 2 0 0
39.99, 25, 0 0 2
41.86, 100, 2 0 1
55.29, 15, 2 0 2
65.81, 17, 2 2 0
73.91, 19, 2 0 3
77.70, 3, 4 0 0
79.87, 20, 2 2 2
81.11, 14, 4 0 1
86.29, 3, 0 0 4

No. 4
Tb3Te3N: computed PXRD pattern (copper Kα), based on DFT lattice parameters and positions (PBE).
Kinematic intensities with the Lorentz-polarization factor, no thermal factor.

Lattice parameters (Å, degrees): 8.170 12.068 8.701 90.00 109.07 90.00
Space group P2_1/c (No. 14)
One atom of each set of equivalent atoms:
Tb: 0.103 0.022 0.362
Tb: 0.267 0.708 0.159
Tb: 0.339 0.089 0.795
Te: 0.008 0.234 0.684
Te: 0.276 0.522 0.584
Te: 0.455 0.188 0.515
N: 0.172 0.534 0.124

Peak list (10 most intense, 2θ from 10° to 90°, in order of rising 2θ)
2theta, Rel. int., hkl
27.04, 53, 2 1 -2
28.74, 100, 1 3 1
29.56, 97, 2 1 1
31.52, 46, 1 2 2
31.74, 79, 1 1 -3
34.35, 38, 2 3 -2
34.55, 66, 3 0 -2
35.70, 51, 3 1 0
37.20, 36, 2 4 -1
50.32, 32, 4 3 -1

No. 5
CeGaCo: computed PXRD pattern (copper Kα), based on DFT lattice parameters and positions (PBE).
Kinematic intensities with the Lorentz-polarization factor, no thermal factor.

Lattice parameters (Å, degrees): 10.871 4.356 4.743 90.00 100.17 90.00
Space group C2/m (No. 12)
One atom of each set of equivalent atoms:
Ce: 0.127 0.000 0.314
Ga: 0.087 0.500 0.809
Co: 0.195 0.000 0.862

Peak list (10 most intense, 2θ from 10° to 90°, in order of rising 2θ)
2theta, Rel. int., hkl
22.03, 31, 1 1 0
30.23, 73, 1 1 1
32.44, 82, 3 1 0
33.50, 49, 4 0 0
35.45, 100, 3 1 -1
38.57, 29, 0 0 2
39.29, 43, 2 0 -2
40.17, 60, 3 1 1
41.46, 70, 0 2 0
64.36, 32, 7 1 -1

No. 6
Ba2IrN3: computed PXRD pattern (copper Kα), based on DFT lattice parameters and positions (PBE).
Kinematic intensities with the Lorentz-polarization factor, no thermal factor.

Lattice parameters (Å, degrees): 6.051 12.035 12.996 90.00 90.00 90.00
Space group Cmce (No. 64)
One atom of each set of equivalent atoms:
Ba: 0.000 0.059 0.143
Ba: 0.000 0.137 0.579
Ir: 0.000 0.242 0.337
N: 0.000 0.077 0.362
N: 0.000 0.162 0.951
N: 0.250 0.238 0.750

Peak list (10 most intense, 2θ from 10° to 90°, in order of rising 2θ)
2theta, Rel. int., hkl
14.72, 20, 0 2 0
27.50, 45, 0 0 4
29.52, 54, 2 0 0
30.06, 100, 1 3 2
32.14, 37, 1 1 4
32.80, 12, 0 4 2
40.75, 19, 2 0 4
52.05, 16, 0 4 6
52.71, 21, 3 3 2
60.96, 13, 2 4 6

No. 7
MgTi2Zn2O6: computed PXRD pattern (copper Kα), based on DFT lattice parameters and positions (PBE).
Kinematic intensities with the Lorentz-polarization factor, no thermal factor.

Lattice parameters (Å, degrees): 5.1545 5.1545 15.3314 90.00 90.00 120.00
Space group R-3 (No. 148, hexagonal axes)
One atom of each set of equivalent atoms:
Mg: 0.0000 0.0000 0.0000
Ti: 0.0000 0.0000 0.3504
Zn: 0.0000 0.0000 0.1705
O: 0.0062 0.3525 0.4091

Peak list (10 most intense, 2θ from 10° to 90°, in order of rising 2θ)
2theta, Rel. int., hkl
20.72, 12, 1 0 1
23.06, 39, 0 1 2
30.75, 29, 1 0 4
34.81, 84, 1 1 0
35.12, 13, 0 0 6
35.52, 20, 0 1 5
39.15, 21, 1 1 3
50.28, 100, 2 -1 6
62.41, 35, 3 0 0
84.14, 19, 2 2 6

No. 8
VN: computed PXRD pattern (copper Kα), based on DFT lattice parameters and positions (PBE).
Kinematic intensities with the Lorentz-polarization factor, no thermal factor.

Lattice parameters (Å, degrees): 4.439 4.439 4.439 90.00 90.00 90.00
Space group F-43m (No. 216)
One atom of each set of equivalent atoms:
V: 0.000 0.000 0.000
N: 0.250 0.250 0.750

Peak list (6 most intense, 2θ from 10° to 90°, in order of rising 2θ)
2theta, Rel. int., hkl
35.01, 100, 1 1 1
40.65, 25, 2 0 0
58.84, 40, 2 2 0
70.34, 31, 3 1 1
73.97, 5, 2 2 2
88.00, 6, 4 0 0